No. 1
# AcPPt2Au2
Theoretical powder diffraction line list, Cu Kα. Input: a GGA-PBE-relaxed structure.
Kinematic intensities with the Lorentz-polarization factor, no thermal factor.

Atomic structure:
Cell: 6.5297 6.5297 6.5297 Å, 133.00 133.00 68.65°
Positions (direct):
Ac 0.0000 0.0000 0.0000
P 0.5000 0.5000 0.0000
Pt 0.3003 0.3003 0.0000
Pt 0.6997 0.6997 0.0000
Au 0.2500 0.7500 0.5000
Au 0.7500 0.2500 0.5000

Top 12 peaks for 15° ≤ 2θ ≤ 90°, sorted by position:
- 16.4 deg, intensity 57
- 29.4 deg, intensity 33
- 30.2 deg, intensity 66
- 33.2 deg, intensity 30
- 34.4 deg, intensity 100
- 38.4 deg, intensity 29
- 46.5 deg, intensity 42
- 48.6 deg, intensity 42
- 49.5 deg, intensity 36
- 57.0 deg, intensity 27
- 60.9 deg, intensity 22
- 78.8 deg, intensity 21



No. 2
# Ac2P3Rh12Au
Theoretical powder diffraction line list, Cu Kα. Input: a GGA-PBE-relaxed structure.
Kinematic intensities with the Lorentz-polarization factor, no thermal factor.

Atomic structure:
Cell: 7.2551 7.2551 7.2551 Å, 71.55 71.55 71.55°
Positions (direct):
Ac 0.1070 0.1070 0.1070
Ac 0.8930 0.8930 0.8930
P 0.0000 0.5000 0.5000
P 0.5000 0.0000 0.5000
P 0.5000 0.5000 0.0000
Rh 0.1284 0.6421 0.6421
Rh 0.1714 0.1714 0.5846
Rh 0.1714 0.5846 0.1714
Rh 0.3579 0.3579 0.8716
Rh 0.3579 0.8716 0.3579
Rh 0.4154 0.8286 0.8286
Rh 0.5846 0.1714 0.1714
Rh 0.6421 0.1284 0.6421
Rh 0.6421 0.6421 0.1284
Rh 0.8286 0.4154 0.8286
Rh 0.8286 0.8286 0.4154
Rh 0.8716 0.3579 0.3579
Au 0.5000 0.5000 0.5000

Top 12 peaks for 15° ≤ 2θ ≤ 90°, sorted by position:
- 26.8 deg, intensity 31
- 30.4 deg, intensity 46
- 33.1 deg, intensity 96
- 34.2 deg, intensity 50
- 37.2 deg, intensity 21
- 40.5 deg, intensity 18
- 42.6 deg, intensity 100
- 51.9 deg, intensity 36
- 53.2 deg, intensity 15
- 55.0 deg, intensity 15
- 62.2 deg, intensity 21
- 83.1 deg, intensity 14



No. 3
# AcPbAu6
Theoretical powder diffraction line list, Cu Kα. Input: a GGA-PBE-relaxed structure.
Kinematic intensities with the Lorentz-polarization factor, no thermal factor.

Atomic structure:
Cell: 5.6987 5.6987 5.6987 Å, 90.00 90.00 90.00°
Positions (direct):
Ac 0.0000 0.0000 0.0000
Pb 0.5000 0.5000 0.5000
Au 0.0000 0.2528 0.5000
Au 0.0000 0.7472 0.5000
Au 0.2528 0.5000 0.0000
Au 0.5000 0.0000 0.2528
Au 0.5000 0.0000 0.7472
Au 0.7472 0.5000 0.0000

Top 10 peaks for 15° ≤ 2θ ≤ 90°, sorted by position:
- 31.4 deg, intensity 36
- 35.2 deg, intensity 100
- 38.7 deg, intensity 83
- 55.9 deg, intensity 8
- 58.4 deg, intensity 24
- 60.8 deg, intensity 45
- 65.5 deg, intensity 18
- 74.5 deg, intensity 13
- 76.6 deg, intensity 22
- 78.8 deg, intensity 11



No. 4
# AcPb2Au9
Theoretical powder diffraction line list, Cu Kα. Input: a GGA-PBE-relaxed structure.
Kinematic intensities with the Lorentz-polarization factor, no thermal factor.

Atomic structure:
Cell: 9.9068 9.9068 9.9068 Å, 33.70 33.70 33.70°
Positions (direct):
Ac 0.0000 0.0000 0.0000
Pb 0.1476 0.1476 0.1476
Pb 0.8524 0.8524 0.8524
Au 0.0818 0.5844 0.5844
Au 0.3329 0.3329 0.3329
Au 0.4156 0.4156 0.9182
Au 0.4156 0.9182 0.4156
Au 0.5000 0.5000 0.5000
Au 0.5844 0.0818 0.5844
Au 0.5844 0.5844 0.0818
Au 0.6671 0.6671 0.6671
Au 0.9182 0.4156 0.4156

Top 12 peaks for 15° ≤ 2θ ≤ 90°, sorted by position:
- 28.6 deg, intensity 13
- 31.1 deg, intensity 21
- 31.2 deg, intensity 10
- 36.3 deg, intensity 25
- 36.7 deg, intensity 100
- 38.6 deg, intensity 24
- 39.6 deg, intensity 25
- 39.8 deg, intensity 11
- 42.8 deg, intensity 9
- 59.1 deg, intensity 25
- 64.9 deg, intensity 22
- 78.2 deg, intensity 19



No. 5
# Ac4PbAu3
Theoretical powder diffraction line list, Cu Kα. Input: a GGA-PBE-relaxed structure.
Kinematic intensities with the Lorentz-polarization factor, no thermal factor.

Atomic structure:
Cell: 4.3515 4.9760 12.0702 Å, 90.00 90.00 90.00°
Positions (direct):
Ac 0.0000 0.0000 0.0000
Ac 0.0000 0.5000 0.2603
Ac 0.5000 0.0000 0.4811
Ac 0.5000 0.5000 0.7718
Pb 0.0000 0.0000 0.7100
Au 0.0000 0.5000 0.5295
Au 0.5000 0.0000 0.2123
Au 0.5000 0.5000 0.0446

Top 12 peaks for 15° ≤ 2θ ≤ 90°, sorted by position:
- 28.2 deg, intensity 100
- 29.6 deg, intensity 31
- 30.3 deg, intensity 17
- 34.8 deg, intensity 21
- 35.3 deg, intensity 74
- 36.1 deg, intensity 32
- 41.5 deg, intensity 22
- 47.4 deg, intensity 17
- 51.8 deg, intensity 13
- 56.2 deg, intensity 18
- 64.8 deg, intensity 14
- 69.8 deg, intensity 14



No. 6
# Ac4PbAu5
Theoretical powder diffraction line list, Cu Kα. Input: a GGA-PBE-relaxed structure.
Kinematic intensities with the Lorentz-polarization factor, no thermal factor.

Atomic structure:
Cell: 3.9248 3.9248 18.7911 Å, 90.00 90.00 90.00°
Positions (direct):
Ac 0.0000 0.0000 0.1052
Ac 0.0000 0.0000 0.3143
Ac 0.0000 0.0000 0.6857
Ac 0.0000 0.0000 0.8948
Pb 0.0000 0.0000 0.5000
Au 0.5000 0.5000 0.0000
Au 0.5000 0.5000 0.2043
Au 0.5000 0.5000 0.4027
Au 0.5000 0.5000 0.5973
Au 0.5000 0.5000 0.7957

Top 12 peaks for 15° ≤ 2θ ≤ 90°, sorted by position:
- 32.3 deg, intensity 56
- 33.0 deg, intensity 100
- 46.3 deg, intensity 21
- 48.4 deg, intensity 7
- 58.0 deg, intensity 41
- 59.4 deg, intensity 16
- 67.5 deg, intensity 7
- 69.2 deg, intensity 11
- 76.8 deg, intensity 10
- 77.2 deg, intensity 9
- 80.5 deg, intensity 5
- 87.4 deg, intensity 6



No. 7
# Ac3Pd4Pb2Au2
Theoretical powder diffraction line list, Cu Kα. Input: a GGA-PBE-relaxed structure.
Kinematic intensities with the Lorentz-polarization factor, no thermal factor.

Atomic structure:
Cell: 4.7267 4.7267 15.0396 Å, 90.00 90.00 120.00°
Positions (direct):
Ac 0.0000 0.0000 0.0000
Ac 0.0000 0.0000 0.2635
Ac 0.0000 0.0000 0.7365
Pd 0.3333 0.6667 0.3766
Pd 0.3333 0.6667 0.8694
Pd 0.6667 0.3333 0.1306
Pd 0.6667 0.3333 0.6234
Pb 0.3333 0.6667 0.5674
Pb 0.6667 0.3333 0.4326
Au 0.3333 0.6667 0.1365
Au 0.6667 0.3333 0.8635

Top 12 peaks for 15° ≤ 2θ ≤ 90°, sorted by position:
- 22.5 deg, intensity 14
- 24.8 deg, intensity 24
- 28.1 deg, intensity 40
- 32.3 deg, intensity 100
- 37.1 deg, intensity 20
- 38.1 deg, intensity 96
- 42.1 deg, intensity 11
- 50.8 deg, intensity 29
- 58.0 deg, intensity 27
- 65.2 deg, intensity 27
- 68.8 deg, intensity 18
- 81.4 deg, intensity 11



No. 8
# Ac2Sn3PbAu6
Theoretical powder diffraction line list, Cu Kα. Input: a GGA-PBE-relaxed structure.
Kinematic intensities with the Lorentz-polarization factor, no thermal factor.

Atomic structure:
Cell: 4.6606 4.6606 16.8457 Å, 90.00 90.00 90.00°
Positions (direct):
Ac 0.0000 0.0000 0.2270
Ac 0.0000 0.0000 0.7730
Sn 0.5000 0.5000 0.0000
Sn 0.5000 0.5000 0.3095
Sn 0.5000 0.5000 0.6905
Pb 0.0000 0.0000 0.5000
Au 0.0000 0.5000 0.3911
Au 0.0000 0.5000 0.6089
Au 0.5000 0.0000 0.3911
Au 0.5000 0.0000 0.6089
Au 0.5000 0.5000 0.1528
Au 0.5000 0.5000 0.8472

Top 12 peaks for 15° ≤ 2θ ≤ 90°, sorted by position:
- 19.8 deg, intensity 35
- 27.6 deg, intensity 53
- 28.6 deg, intensity 49
- 29.1 deg, intensity 28
- 31.5 deg, intensity 45
- 34.6 deg, intensity 72
- 38.2 deg, intensity 24
- 38.6 deg, intensity 100
- 42.3 deg, intensity 76
- 55.8 deg, intensity 35
- 58.6 deg, intensity 35
- 67.3 deg, intensity 23



No. 9
# Ac2Sn4PbAu3
Theoretical powder diffraction line list, Cu Kα. Input: a GGA-PBE-relaxed structure.
Kinematic intensities with the Lorentz-polarization factor, no thermal factor.

Atomic structure:
Cell: 4.9720 4.9720 11.1692 Å, 90.00 90.00 90.00°
Positions (direct):
Ac 0.0000 0.5000 0.2413
Ac 0.5000 0.0000 0.7587
Sn 0.0000 0.0000 0.0000
Sn 0.0000 0.5000 0.6415
Sn 0.5000 0.0000 0.3585
Sn 0.5000 0.5000 0.0000
Pb 0.0000 0.0000 0.5000
Au 0.0000 0.5000 0.8803
Au 0.5000 0.0000 0.1197
Au 0.5000 0.5000 0.5000

Top 12 peaks for 15° ≤ 2θ ≤ 90°, sorted by position:
- 30.0 deg, intensity 100
- 36.1 deg, intensity 47
- 41.3 deg, intensity 15
- 44.5 deg, intensity 14
- 47.6 deg, intensity 21
- 52.0 deg, intensity 17
- 55.9 deg, intensity 9
- 58.6 deg, intensity 13
- 61.2 deg, intensity 22
- 78.6 deg, intensity 9
- 84.5 deg, intensity 8
- 87.8 deg, intensity 8



No. 10
# Ac3Tl2Pb3Au
Theoretical powder diffraction line list, Cu Kα. Input: a GGA-PBE-relaxed structure.
Kinematic intensities with the Lorentz-polarization factor, no thermal factor.

Atomic structure:
Cell: 9.3353 9.3353 3.9533 Å, 90.00 90.00 120.00°
Positions (direct):
Ac 0.0000 0.7293 0.0000
Ac 0.2707 0.2707 0.0000
Ac 0.7293 0.0000 0.0000
Tl 0.3333 0.6667 0.0000
Tl 0.6667 0.3333 0.0000
Pb 0.0000 0.3940 0.5000
Pb 0.3940 0.0000 0.5000
Pb 0.6060 0.6060 0.5000
Au 0.0000 0.0000 0.5000

Top 12 peaks for 15° ≤ 2θ ≤ 90°, sorted by position:
- 29.2 deg, intensity 47
- 29.6 deg, intensity 100
- 31.7 deg, intensity 74
- 33.2 deg, intensity 73
- 37.2 deg, intensity 34
- 45.9 deg, intensity 19
- 54.7 deg, intensity 46
- 55.4 deg, intensity 16
- 57.9 deg, intensity 31
- 62.0 deg, intensity 15
- 68.9 deg, intensity 12
- 79.2 deg, intensity 13



No. 11
# Ac8PdAu2
Theoretical powder diffraction line list, Cu Kα. Input: a GGA-PBE-relaxed structure.
Kinematic intensities with the Lorentz-polarization factor, no thermal factor.

Atomic structure:
Cell: 10.2096 10.2096 7.4917 Å, 101.46 101.46 31.41°
Positions (direct):
Ac 0.0287 0.0287 0.2827
Ac 0.2040 0.2040 0.8424
Ac 0.3364 0.3364 0.5203
Ac 0.4113 0.4113 0.0500
Ac 0.5887 0.5887 0.9500
Ac 0.6636 0.6636 0.4797
Ac 0.7960 0.7960 0.1576
Ac 0.9713 0.9713 0.7173
Pd 0.5000 0.5000 0.5000
Au 0.1872 0.1872 0.2527
Au 0.8128 0.8128 0.7473

Top 12 peaks for 15° ≤ 2θ ≤ 90°, sorted by position:
- 25.9 deg, intensity 39
- 27.8 deg, intensity 17
- 28.3 deg, intensity 46
- 28.8 deg, intensity 100
- 30.2 deg, intensity 25
- 30.4 deg, intensity 29
- 32.4 deg, intensity 59
- 32.7 deg, intensity 27
- 34.2 deg, intensity 17
- 41.6 deg, intensity 16
- 55.6 deg, intensity 16
- 57.9 deg, intensity 22



No. 12
# Ac8Pd4Au3
Theoretical powder diffraction line list, Cu Kα. Input: a GGA-PBE-relaxed structure.
Kinematic intensities with the Lorentz-polarization factor, no thermal factor.

Atomic structure:
Cell: 8.9484 8.9484 8.9386 Å, 119.77 119.77 90.16°
Positions (direct):
Ac 0.2361 0.2361 0.4819
Ac 0.2406 0.2406 0.9921
Ac 0.2426 0.7574 0.0000
Ac 0.2453 0.7547 0.5000
Ac 0.7547 0.2453 0.5000
Ac 0.7574 0.2426 0.0000
Ac 0.7594 0.7594 0.0079
Ac 0.7639 0.7639 0.5181
Pd 0.0000 0.0000 0.0000
Pd 0.0000 0.0000 0.5000
Pd 0.0000 0.5000 0.0000
Pd 0.5000 0.0000 0.0000
Au 0.0000 0.5000 0.5000
Au 0.5000 0.0000 0.5000
Au 0.5000 0.5000 0.5000

Top 12 peaks for 15° ≤ 2θ ≤ 90°, sorted by position:
- 24.3 deg, intensity 19
- 28.1 deg, intensity 100
- 28.2 deg, intensity 50
- 40.2 deg, intensity 58
- 40.3 deg, intensity 58
- 49.8 deg, intensity 21
- 49.9 deg, intensity 21
- 65.8 deg, intensity 9
- 65.9 deg, intensity 27
- 66.1 deg, intensity 9
- 73.1 deg, intensity 20
- 73.4 deg, intensity 7



No. 13
# Ac8Pd5Au
Theoretical powder diffraction line list, Cu Kα. Input: a GGA-PBE-relaxed structure.
Kinematic intensities with the Lorentz-polarization factor, no thermal factor.

Atomic structure:
Cell: 8.3152 8.3152 8.3152 Å, 109.15 109.15 110.11°
Positions (direct):
Ac 0.0139 0.3838 0.2542
Ac 0.1234 0.2641 0.7479
Ac 0.1296 0.7598 0.7458
Ac 0.2402 0.9861 0.3699
Ac 0.5162 0.3754 0.2521
Ac 0.6162 0.8704 0.6301
Ac 0.6246 0.8766 0.1407
Ac 0.7359 0.4838 0.8593
Pd 0.2458 0.6247 0.1202
Pd 0.3753 0.4956 0.6212
Pd 0.5044 0.1256 0.8798
Pd 0.7500 0.2500 0.5000
Pd 0.8744 0.7542 0.3788
Au 0.0000 0.0000 0.0000

Top 12 peaks for 15° ≤ 2θ ≤ 90°, sorted by position:
- 26.3 deg, intensity 30
- 29.3 deg, intensity 100
- 29.6 deg, intensity 50
- 34.9 deg, intensity 56
- 35.1 deg, intensity 19
- 44.3 deg, intensity 12
- 46.2 deg, intensity 13
- 48.2 deg, intensity 23
- 48.3 deg, intensity 16
- 48.5 deg, intensity 17
- 59.1 deg, intensity 15
- 72.0 deg, intensity 15